Diffraction record for ScInO3. The powder XRD pattern is computed, not measured: it uses a structure optimized by DFT (GGA-PBE) and copper Kα.
Intensities are scaled so that the largest is 100.

Most intense lines, 15 to 90 degrees two-theta, sorted by position:
index, two_theta, d/Å, I (rel.)
0 0 4, 28.00, 3.187, 53
1 0 0, 29.76, 3.002, 45
1 0 1, 30.59, 2.922, 27
1 0 2, 32.98, 2.716, 100
1 0 4, 41.32, 2.185, 58
1 1 0, 52.80, 1.734, 78
1 1 4, 60.84, 1.523, 32
2 0 2, 63.69, 1.461, 15
1 1 8, 82.16, 1.173, 21
2 1 2, 87.28, 1.117, 13

Crystal structure
```
ScInO3
1.0
3.466 0.000 0.000
-1.733 3.002 0.000
0.000 0.000 12.749
Sc In O
2 2 6
direct
0.333 0.667 0.250 Sc
0.667 0.333 0.750 Sc
0.000 0.000 0.000 In
0.000 0.000 0.500 In
0.000 0.000 0.250 O
0.000 0.000 0.750 O
0.333 0.667 0.082 O
0.333 0.667 0.418 O
0.667 0.333 0.582 O
0.667 0.333 0.918 O
```